Record 1
Starting from a GGA-PBE-relaxed structure, the X-ray diffraction stick pattern of ThMgH8Rh2 was computed for Cu Ka.
Peak positions follow from Bragg's law for the DFT cell and can differ from measured ones.

Most intense lines, 10 to 90 degrees two-theta, most intense first:
2θ/deg	I_rel	index
30.15	100	1 0 4
37.84	64	1 1 0
22.20	59	1 0 1
34.11	44	0 1 5
62.66	30	2 -1 9
49.12	26	0 2 4
47.99	26	0 0 9
63.63	24	2 1 4
51.85	14	2 0 5
65.95	13	3 -2 5
68.33	11	3 0 0
88.64	10	4 -3 4

Atomic structure:
```
data_ThMgH8Rh2
_symmetry_space_group_name_H-M 'R -3'
_symmetry_Int_Tables_number 148
_symmetry_space_group_name_Hall '-R 3'
_cell_length_a 4.7556
_cell_length_b 4.7556
_cell_length_c 17.0734
_cell_angle_alpha 90.00
_cell_angle_beta 90.00
_cell_angle_gamma 120.00
loop_
_atom_site_label
_atom_site_fract_x
_atom_site_fract_y
_atom_site_fract_z
Th1 0.0000 0.0000 0.0000
Mg1 0.0000 0.0000 0.5000
H1 0.0000 0.0000 0.3230
H2 0.0015 0.2915 0.8922
Rh1 0.0000 0.0000 0.2276
```


Record 2
Starting from a GGA-PBE-relaxed structure, the X-ray diffraction stick pattern of CdTePb6O10 was computed for Cu Ka.
Peak positions follow from Bragg's law for the DFT cell and can differ from measured ones.

Most intense lines, 10 to 90 degrees two-theta, most intense first:
2θ/deg	I_rel	index
28.85	100	2 2 2
31.02	24	0 0 4
29.13	23	1 3 2
53.85	16	2 2 6
30.37	14	0 4 0
48.40	13	3 5 0
43.97	13	0 4 4
58.60	11	3 5 4
56.68	11	5 3 2
57.97	8	1 7 2
78.10	8	5 7 2
29.56	8	3 1 0

Atomic structure:
```
data_CdTePb6O10
_symmetry_space_group_name_H-M 'C 2 2 21'
_symmetry_Int_Tables_number 20
_cell_length_a 9.381
_cell_length_b 11.771
_cell_length_c 11.531
_cell_angle_alpha 90.00
_cell_angle_beta 90.00
_cell_angle_gamma 90.00
loop_
_symmetry_equiv_pos_as_xyz
'x,y,z'
'-x,-y,z+1/2'
'x,-y,-z'
'-x,y,-z+1/2'
'x+1/2,y+1/2,z'
'-x+1/2,-y+1/2,z+1/2'
'x+1/2,-y+1/2,-z'
'-x+1/2,y+1/2,-z+1/2'
loop_
_atom_site_label
_atom_site_fract_x
_atom_site_fract_y
_atom_site_fract_z
Cd1 0.000 0.077 0.250
Te1 0.176 0.000 0.000
Pb1 0.000 0.491 0.750
Pb2 0.001 0.279 0.484
Pb3 0.197 0.000 0.500
Pb4 0.212 0.211 0.763
O1 0.021 0.062 0.897
O2 0.129 0.383 0.150
O3 0.147 0.172 0.371
O4 0.170 0.140 0.092
O5 0.182 0.431 0.395
```


Record 3
Starting from a GGA-PBE-relaxed structure, the X-ray diffraction stick pattern of Ac2Pm4Pr7 was computed for Cu Ka.
Peak positions follow from Bragg's law for the DFT cell and can differ from measured ones.

Most intense lines, 10 to 90 degrees two-theta, most intense first:
2θ/deg	I_rel	index
30.81	100	2 -1 2
28.55	32	1 1 1
34.27	31	1 1 3
49.11	27	3 0 0
26.35	24	0 0 4
27.77	21	1 1 0
30.94	18	1 0 4
49.37	18	2 -1 6
56.59	15	3 0 4
59.11	14	2 2 2
80.33	12	5 -1 2
33.10	10	0 0 5

Atomic structure:
```
data_Ac2Pm4Pr7
_symmetry_space_group_name_H-M 'P -3 1 m'
_symmetry_Int_Tables_number 162
_symmetry_space_group_name_Hall '-P 3 2'
_cell_length_a 6.4258
_cell_length_b 6.4258
_cell_length_c 13.5314
_cell_angle_alpha 90.00
_cell_angle_beta 90.00
_cell_angle_gamma 120.00
loop_
_atom_site_label
_atom_site_fract_x
_atom_site_fract_y
_atom_site_fract_z
Ac1 0.3333 0.6667 0.0000
Pm1 0.0000 0.0000 0.3929
Pm2 0.3333 0.6667 0.5000
Pr1 0.0000 0.0000 0.0000
Pr2 0.0000 0.3700 0.2268
```


Record 4
Starting from a GGA-PBE-relaxed structure, the X-ray diffraction stick pattern of CuSn2Ir was computed for Cu Ka.
Peak positions follow from Bragg's law for the DFT cell and can differ from measured ones.

Most intense lines, 10 to 90 degrees two-theta, most intense first:
2θ/deg	I_rel	index
30.67	100	1 1 2
46.52	64	2 0 4
42.96	40	1 1 6
68.61	22	3 1 2
41.97	22	0 0 8
75.64	16	2 2 8
59.70	15	2 2 0
76.33	15	3 1 6
61.62	14	1 1 10
79.91	14	2 0 12
20.92	13	1 0 1
25.58	10	1 0 3

Atomic structure:
```
data_CuSn2Ir
_symmetry_space_group_name_H-M 'I -4 2 d'
_symmetry_Int_Tables_number 122
_symmetry_space_group_name_Hall 'I -4 2bw'
_cell_length_a 4.381
_cell_length_b 4.381
_cell_length_c 17.221
_cell_angle_alpha 90.00
_cell_angle_beta 90.00
_cell_angle_gamma 90.00
loop_
_atom_site_label
_atom_site_fract_x
_atom_site_fract_y
_atom_site_fract_z
Cu1 0.000 0.000 0.000
Sn1 0.245 0.250 0.125
Ir1 0.000 0.000 0.500
```


Record 5
Starting from a GGA-PBE-relaxed structure, the X-ray diffraction stick pattern of LaMg4Co was computed for Cu Ka.
Peak positions follow from Bragg's law for the DFT cell and can differ from measured ones.

Most intense lines, 10 to 90 degrees two-theta, most intense first:
2θ/deg	I_rel	index
31.68	100	2 1 1
29.12	59	2 1 0
21.29	49	2 0 0
19.64	49	0 1 0
12.22	44	0 0 1
33.47	42	1 1 2
38.82	39	1 0 3
24.61	34	2 0 1
23.19	34	0 1 1
39.88	33	0 2 0
43.86	28	1 1 3
56.87	25	1 2 3

Atomic structure:
```
data_LaMg4Co
_symmetry_space_group_name_H-M 'P m m a'
_symmetry_Int_Tables_number 51
_cell_length_a 8.348
_cell_length_b 4.521
_cell_length_c 7.245
_cell_angle_alpha 90.00
_cell_angle_beta 90.00
_cell_angle_gamma 90.00
loop_
_symmetry_equiv_pos_as_xyz
'x,y,z'
'-x,-y,-z'
'-x+1/2,-y,z'
'x+1/2,y,-z'
'x+1/2,-y,-z'
'-x+1/2,y,z'
'-x,y,-z'
'x,-y,z'
loop_
_atom_site_label
_atom_site_fract_x
_atom_site_fract_y
_atom_site_fract_z
La1 0.250 0.000 0.065
Mg1 0.000 0.000 0.500
Mg2 0.061 0.500 0.793
Mg3 0.250 0.500 0.457
Co1 0.250 0.000 0.738
```


Record 6
Starting from a GGA-PBE-relaxed structure, the X-ray diffraction stick pattern of CuHg2Rh2 was computed for Cu Ka.
Peak positions follow from Bragg's law for the DFT cell and can differ from measured ones.

Most intense lines, 10 to 90 degrees two-theta, most intense first:
2θ/deg	I_rel	index
37.56	100	2 1 1
63.03	30	3 1 2
44.12	22	3 1 0
42.69	20	0 0 2
34.82	18	2 0 1
74.76	14	2 1 3
83.36	11	5 2 1
27.48	9	2 0 0
19.34	8	1 1 0
30.80	8	2 1 0
76.87	7	3 3 2
60.52	7	3 3 0

Atomic structure:
```
data_CuHg2Rh2
_symmetry_space_group_name_H-M 'P 4/m b m'
_symmetry_Int_Tables_number 127
_symmetry_space_group_name_Hall '-P 4 2ab'
_cell_length_a 6.491
_cell_length_b 6.491
_cell_length_c 4.236
_cell_angle_alpha 90.00
_cell_angle_beta 90.00
_cell_angle_gamma 90.00
loop_
_atom_site_label
_atom_site_fract_x
_atom_site_fract_y
_atom_site_fract_z
Cu1 0.000 0.000 0.000
Hg1 0.170 0.330 0.500
Rh1 0.138 0.638 0.000
```


Record 7
Starting from a GGA-PBE-relaxed structure, the X-ray diffraction stick pattern of KNa3Cu4I12 was computed for Cu Ka.
Peak positions follow from Bragg's law for the DFT cell and can differ from measured ones.

Most intense lines, 10 to 90 degrees two-theta, most intense first:
2θ/deg	I_rel	index
19.64	100	0 0 3
25.37	55	1 3 1
27.85	54	3 1 2
22.23	29	1 2 2
30.82	26	2 2 3
19.08	26	2 1 1
18.83	25	2 0 2
36.24	24	1 3 4
39.89	18	0 0 6
23.52	18	2 2 0
32.58	17	2 3 2
60.20	16	5 2 6

Atomic structure:
```
data_KNa3Cu4I12
_symmetry_space_group_name_H-M 'R 3 2'
_symmetry_Int_Tables_number 155
_symmetry_space_group_name_Hall 'R 3 2"'
_cell_length_a 15.1307
_cell_length_b 15.1307
_cell_length_c 13.5609
_cell_angle_alpha 90.00
_cell_angle_beta 90.00
_cell_angle_gamma 120.00
loop_
_atom_site_label
_atom_site_fract_x
_atom_site_fract_y
_atom_site_fract_z
K1 0.0000 0.0000 0.0000
Na1 0.0000 0.5428 0.0000
Cu1 0.0000 0.0000 0.5000
Cu2 0.0000 0.4357 0.5000
I1 0.0000 0.6045 0.5000
I2 0.0000 0.8349 0.5000
I3 0.0335 0.1875 0.1830
```


Record 8
Starting from a GGA-PBE-relaxed structure, the X-ray diffraction stick pattern of LaBi2SbPd2 was computed for Cu Ka.
Peak positions follow from Bragg's law for the DFT cell and can differ from measured ones.

Most intense lines, 10 to 90 degrees two-theta, most intense first:
2θ/deg	I_rel	index
29.13	100	1 1 2
42.39	81	1 1 6
38.66	53	2 0 0
21.17	40	0 0 4
10.54	37	0 0 2
72.52	33	3 1 6
44.49	24	2 0 4
24.87	22	1 0 3
64.20	22	3 1 2
59.27	19	2 0 8
55.83	18	2 2 0
34.62	18	1 1 4

Atomic structure:
```
data_LaBi2SbPd2
_symmetry_space_group_name_H-M 'I 4/m m m'
_symmetry_Int_Tables_number 139
_symmetry_space_group_name_Hall '-I 4 2'
_cell_length_a 4.658
_cell_length_b 4.658
_cell_length_c 16.789
_cell_angle_alpha 90.00
_cell_angle_beta 90.00
_cell_angle_gamma 90.00
loop_
_atom_site_label
_atom_site_fract_x
_atom_site_fract_y
_atom_site_fract_z
La1 0.000 0.000 0.000
Bi1 0.000 0.500 0.250
Sb1 0.000 0.000 0.500
Pd1 0.000 0.000 0.345
```